Structure and theoretical powder diffractogram of Nd3Sb2Pd7 (DFT lattice parameters and positions (PBE); Cu Kα (weighted mean of Kα1 and Kα2)).
Neutral-atom scattering factors, no anomalous dispersion.

Principal peaks in the range 5 to 70 degrees two-theta, in order of rising 2θ:
2theta, Rel. int.
30.0, 348
35.3, 438
35.5, 1000
39.3, 476
40.7, 493
42.9, 834

Cell and atoms:
a b c (Å): 14.6437 14.6437 14.6437
angles (deg): 163.44 163.44 23.50
Sites, in units of the cell vectors:
Nd  0.0000  0.0000  0.0000
Nd  0.1753  0.1753  0.0000
Nd  0.8247  0.8247  0.0000
Sb  0.3706  0.3706  0.0000
Sb  0.6294  0.6294  0.0000
Pd  0.0739  0.5739  0.5000
Pd  0.2757  0.2757  0.0000
Pd  0.4261  0.9261  0.5000
Pd  0.5000  0.5000  0.0000
Pd  0.5739  0.0739  0.5000
Pd  0.7243  0.7243  0.0000
Pd  0.9261  0.4261  0.5000